This entry pairs a crystal structure of Y2FeBiO6 with its theoretical X-ray diffraction stick pattern. Radiation: copper Kα. Structure: a structure optimized by DFT (GGA+U).
Kinematic intensities with the Lorentz-polarization factor, no thermal factor.

Structural model:
Unit cell a=5.349 b=5.349 c=5.452 alpha=90.00 beta=90.00 gamma=90.00
Sites, in units of the cell vectors:
Y (0.000, 0.500, 0.000)
Y (0.500, 0.000, 0.000)
Fe (0.000, 0.000, 0.614)
Bi (0.500, 0.500, 0.572)
O (0.000, 0.000, 0.267)
O (0.238, 0.238, 0.773)
O (0.238, 0.762, 0.773)
O (0.500, 0.500, 0.154)
O (0.762, 0.238, 0.773)
O (0.762, 0.762, 0.773)

Principal peaks in the range 15° ≤ 2θ ≤ 90°, sorted by position:
| 2θ (°) | d [Å] | I (rel.) | hkl |
| --- | --- | --- | --- |
| 16.26 | 5.452 | 16 | 0 0 1 |
| 16.57 | 5.349 | 20 | 1 0 0 |
| 23.30 | 3.818 | 18 | 1 0 1 |
| 28.73 | 3.108 | 100 | 1 1 1 |
| 32.85 | 2.726 | 10 | 0 0 2 |
| 33.51 | 2.674 | 33 | 2 0 0 |
| 40.80 | 2.212 | 13 | 1 1 2 |
| 47.63 | 1.909 | 27 | 2 0 2 |
| 48.12 | 1.891 | 20 | 2 2 0 |
| 57.01 | 1.615 | 29 | 3 1 1 |